Entry 1:
Simulated X-ray powder pattern
Compound: Hf3TiSn4
Radiation: copper Kα
Structure: DFT lattice parameters and positions (GGA-PBE)
Intensities are scaled so that the largest is 100.

Cell and atoms:
```
data_Hf3TiSn4
_space_group_name_H-M_alt 'P m m n'
_space_group_IT_number 59
_cell_length_a 5.658
_cell_length_b 9.869
_cell_length_c 8.503
_cell_angle_alpha 90.00
_cell_angle_beta 90.00
_cell_angle_gamma 90.00
loop_
_space_group_symop_operation_xyz
'x,y,z'
'-x,-y,-z'
'-x+1/2,-y+1/2,z'
'x+1/2,y+1/2,-z'
'x+1/2,-y,-z'
'-x+1/2,y,z'
'-x,y+1/2,-z'
'x,-y+1/2,z'
loop_
_atom_site_label
_atom_site_type_symbol
_atom_site_fract_x
_atom_site_fract_y
_atom_site_fract_z
Hf1 Hf 0.250 0.002 0.166
Hf2 Hf 0.250 0.750 0.668
Ti1 Ti 0.250 0.250 0.668
Sn1 Sn 0.250 0.006 0.828
Sn2 Sn 0.250 0.250 0.343
Sn3 Sn 0.250 0.750 0.331
```

The 12 most intense peaks (2θ = 10–80°), low angle first:
| Position (°2θ) | d [Å] | I_rel |
| --- | --- | --- |
| 20.8 | 4.262 | 100.0 |
| 31.6 | 2.829 | 47.4 |
| 36.4 | 2.467 | 32.0 |
| 36.6 | 2.458 | 66.4 |
| 38.2 | 2.357 | 42.3 |
| 42.4 | 2.134 | 10.7 |
| 49.0 | 1.859 | 27.8 |
| 49.1 | 1.855 | 55.5 |
| 53.8 | 1.704 | 10.8 |
| 65.6 | 1.423 | 11.7 |
| 74.7 | 1.271 | 16.1 |
| 77.9 | 1.226 | 22.3 |

=====

Entry 2:
Simulated X-ray powder pattern
Compound: Bi3Te2Pd7
Radiation: copper Kα
Structure: DFT lattice parameters and positions (GGA-PBE)
Intensities are scaled so that the largest is 100.

Cell and atoms:
```
data_Bi3Te2Pd7
_space_group_name_H-M_alt 'P -1'
_space_group_IT_number 2
_space_group_name_Hall '-P 1'
_cell_length_a 4.652
_cell_length_b 4.908
_cell_length_c 12.183
_cell_angle_alpha 78.87
_cell_angle_beta 82.28
_cell_angle_gamma 75.02
loop_
_atom_site_label
_atom_site_type_symbol
_atom_site_fract_x
_atom_site_fract_y
_atom_site_fract_z
Bi1 Bi 0.000 0.000 0.000
Bi2 Bi 0.024 0.787 0.406
Te1 Te 0.499 0.256 0.227
Pd1 Pd 0.031 0.542 0.856
Pd2 Pd 0.338 0.582 0.602
Pd3 Pd 0.344 0.817 0.189
Pd4 Pd 0.500 0.500 0.000
```

The 12 most intense peaks (2θ = 10–80°), low angle first:
| Position (°2θ) | d [Å] | I_rel |
| --- | --- | --- |
| 24.0 | 3.706 | 53.8 |
| 25.9 | 3.434 | 62.9 |
| 27.0 | 3.308 | 38.5 |
| 30.9 | 2.892 | 50.9 |
| 35.0 | 2.566 | 69.7 |
| 37.5 | 2.396 | 59.8 |
| 37.8 | 2.382 | 94.9 |
| 38.0 | 2.367 | 100.0 |
| 40.3 | 2.238 | 41.8 |
| 40.6 | 2.221 | 64.3 |
| 42.9 | 2.107 | 49.8 |
| 45.6 | 1.988 | 35.1 |

=====

Entry 3:
Simulated X-ray powder pattern
Compound: NaAcS14
Radiation: copper Kα
Structure: DFT lattice parameters and positions (GGA-PBE)
Intensities are scaled so that the largest is 100.

Cell and atoms:
```
data_NaAcS14
_space_group_name_H-M_alt 'C 1 2/c 1'
_space_group_IT_number 15
_space_group_name_Hall '-C 2yc'
_cell_length_a 18.978
_cell_length_b 7.955
_cell_length_c 16.259
_cell_angle_alpha 90.00
_cell_angle_beta 124.63
_cell_angle_gamma 90.00
loop_
_atom_site_label
_atom_site_type_symbol
_atom_site_fract_x
_atom_site_fract_y
_atom_site_fract_z
Na1 Na 0.000 0.190 0.250
Ac1 Ac 0.000 0.000 0.000
S1 S 0.038 0.293 0.831
S2 S 0.084 0.371 0.526
S3 S 0.085 0.478 0.121
S4 S 0.126 0.079 0.444
S5 S 0.136 0.095 0.212
S6 S 0.145 0.144 0.895
S7 S 0.149 0.251 0.123
```

The 12 most intense peaks (2θ = 10–80°), low angle first:
| Position (°2θ) | d [Å] | I_rel |
| --- | --- | --- |
| 11.3 | 7.808 | 100.0 |
| 11.5 | 7.672 | 50.4 |
| 12.5 | 7.088 | 70.2 |
| 13.2 | 6.690 | 36.6 |
| 20.5 | 4.340 | 37.0 |
| 23.2 | 3.836 | 32.2 |
| 25.2 | 3.536 | 36.1 |
| 26.1 | 3.419 | 19.6 |
| 26.2 | 3.404 | 25.9 |
| 29.3 | 3.048 | 49.6 |
| 32.4 | 2.762 | 26.1 |
| 36.3 | 2.477 | 16.5 |

=====

Entry 4:
Simulated X-ray powder pattern
Compound: La6PrAg
Radiation: copper Kα
Structure: DFT lattice parameters and positions (GGA-PBE)
Intensities are scaled so that the largest is 100.

Cell and atoms:
```
data_La6PrAg
_space_group_name_H-M_alt 'F m m m'
_space_group_IT_number 69
_space_group_name_Hall '-F 2 2'
_cell_length_a 8.247
_cell_length_b 8.272
_cell_length_c 15.902
_cell_angle_alpha 90.00
_cell_angle_beta 90.00
_cell_angle_gamma 90.00
loop_
_atom_site_label
_atom_site_type_symbol
_atom_site_fract_x
_atom_site_fract_y
_atom_site_fract_z
La1 La 0.000 0.000 0.235
La2 La 0.250 0.250 0.110
Pr1 Pr 0.000 0.000 0.000
Ag1 Ag 0.000 0.000 0.500
```

The 12 most intense peaks (2θ = 10–80°), low angle first:
| Position (°2θ) | d [Å] | I_rel |
| --- | --- | --- |
| 30.6 | 2.920 | 59.0 |
| 31.2 | 2.864 | 100.0 |
| 40.4 | 2.231 | 5.0 |
| 43.8 | 2.068 | 11.0 |
| 43.9 | 2.062 | 10.9 |
| 45.6 | 1.988 | 6.0 |
| 54.8 | 1.675 | 40.3 |
| 56.0 | 1.643 | 13.1 |
| 63.7 | 1.460 | 7.1 |
| 72.3 | 1.308 | 5.4 |
| 72.5 | 1.304 | 4.9 |
| 72.6 | 1.303 | 4.3 |

=====

Entry 5:
Simulated X-ray powder pattern
Compound: Dy4BiRh2
Radiation: copper Kα
Structure: DFT lattice parameters and positions (GGA-PBE)
Intensities are scaled so that the largest is 100.

Cell and atoms:
```
data_Dy4BiRh2
_space_group_name_H-M_alt 'I m m a'
_space_group_IT_number 74
_space_group_name_Hall '-I 2b 2'
_cell_length_a 9.205
_cell_length_b 9.223
_cell_length_c 9.574
_cell_angle_alpha 90.00
_cell_angle_beta 90.00
_cell_angle_gamma 90.00
loop_
_atom_site_label
_atom_site_type_symbol
_atom_site_fract_x
_atom_site_fract_y
_atom_site_fract_z
Dy1 Dy 0.000 0.067 0.225
Dy2 Dy 0.183 0.250 0.525
Bi1 Bi 0.000 0.250 0.874
Rh1 Rh 0.000 0.000 0.500
Rh2 Rh 0.250 0.250 0.250
```

The 12 most intense peaks (2θ = 10–80°), low angle first:
| Position (°2θ) | d [Å] | I_rel |
| --- | --- | --- |
| 19.3 | 4.607 | 43.9 |
| 26.9 | 3.319 | 35.1 |
| 27.4 | 3.258 | 36.6 |
| 29.6 | 3.015 | 83.8 |
| 30.6 | 2.925 | 44.7 |
| 36.1 | 2.489 | 25.7 |
| 36.4 | 2.469 | 100.0 |
| 39.1 | 2.304 | 37.3 |
| 45.5 | 1.995 | 21.0 |
| 47.1 | 1.929 | 52.0 |
| 57.8 | 1.596 | 20.2 |
| 69.1 | 1.360 | 20.2 |

=====

Entry 6:
Simulated X-ray powder pattern
Compound: Nb2Pd3Pt3
Radiation: copper Kα
Structure: DFT lattice parameters and positions (GGA-PBE)
Intensities are scaled so that the largest is 100.

Cell and atoms:
```
data_Nb2Pd3Pt3
_space_group_name_H-M_alt 'R 3 2'
_space_group_IT_number 155
_space_group_name_Hall 'R 3 2"'
_cell_length_a 7.4513
_cell_length_b 7.4513
_cell_length_c 8.1315
_cell_angle_alpha 90.00
_cell_angle_beta 90.00
_cell_angle_gamma 120.00
loop_
_atom_site_label
_atom_site_type_symbol
_atom_site_fract_x
_atom_site_fract_y
_atom_site_fract_z
Nb1 Nb 0.0000 0.0000 0.2271
Pd1 Pd 0.0000 0.7403 0.5000
Pt1 Pt 0.0000 0.2932 0.0000
```

The 12 most intense peaks (2θ = 10–80°), low angle first:
| Position (°2θ) | d [Å] | I_rel |
| --- | --- | --- |
| 23.9 | 3.726 | 35.5 |
| 35.5 | 2.527 | 25.4 |
| 38.5 | 2.336 | 39.6 |
| 41.2 | 2.192 | 100.0 |
| 42.0 | 2.151 | 57.5 |
| 43.3 | 2.092 | 20.1 |
| 60.3 | 1.535 | 13.5 |
| 63.9 | 1.456 | 12.6 |
| 67.3 | 1.391 | 11.5 |
| 74.5 | 1.274 | 11.1 |
| 75.2 | 1.264 | 11.2 |
| 76.2 | 1.250 | 12.7 |

=====

Entry 7:
Simulated X-ray powder pattern
Compound: SrTc2Mo
Radiation: copper Kα
Structure: DFT lattice parameters and positions (GGA-PBE)
Intensities are scaled so that the largest is 100.

Cell and atoms:
```
data_SrTc2Mo
_space_group_name_H-M_alt 'P 1 m 1'
_space_group_IT_number 6
_space_group_name_Hall 'P -2y'
_cell_length_a 3.067
_cell_length_b 3.573
_cell_length_c 7.534
_cell_angle_alpha 90.00
_cell_angle_beta 90.45
_cell_angle_gamma 90.00
loop_
_atom_site_label
_atom_site_type_symbol
_atom_site_fract_x
_atom_site_fract_y
_atom_site_fract_z
Sr1 Sr 0.000 0.000 0.000
Tc1 Tc 0.042 0.000 0.489
Tc2 Tc 0.505 0.500 0.328
Mo1 Mo 0.495 0.500 0.658
```

The 12 most intense peaks (2θ = 10–80°), low angle first:
| Position (°2θ) | d [Å] | I_rel |
| --- | --- | --- |
| 11.7 | 7.534 | 82.6 |
| 27.6 | 3.228 | 13.1 |
| 34.6 | 2.592 | 74.8 |
| 35.8 | 2.511 | 14.7 |
| 37.7 | 2.388 | 29.8 |
| 38.0 | 2.369 | 27.6 |
| 38.7 | 2.327 | 100.0 |
| 44.1 | 2.055 | 20.8 |
| 51.1 | 1.787 | 22.2 |
| 55.1 | 1.666 | 20.2 |
| 60.4 | 1.534 | 12.6 |
| 71.7 | 1.317 | 12.2 |

=====

Entry 8:
Simulated X-ray powder pattern
Compound: TbCe2Sc7
Radiation: copper Kα
Structure: DFT lattice parameters and positions (GGA-PBE)
Intensities are scaled so that the largest is 100.

Cell and atoms:
```
data_TbCe2Sc7
_space_group_name_H-M_alt 'C m m m'
_space_group_IT_number 65
_space_group_name_Hall '-C 2 2'
_cell_length_a 7.838
_cell_length_b 22.201
_cell_length_c 3.129
_cell_angle_alpha 90.00
_cell_angle_beta 90.00
_cell_angle_gamma 90.00
loop_
_atom_site_label
_atom_site_type_symbol
_atom_site_fract_x
_atom_site_fract_y
_atom_site_fract_z
Tb1 Tb 0.000 0.000 0.000
Ce1 Ce 0.000 0.384 0.500
Sc1 Sc 0.000 0.262 0.000
Sc2 Sc 0.000 0.500 0.500
Sc3 Sc 0.180 0.153 0.500
```

The 12 most intense peaks (2θ = 10–80°), low angle first:
| Position (°2θ) | d [Å] | I_rel |
| --- | --- | --- |
| 16.5 | 5.381 | 67.2 |
| 22.7 | 3.919 | 72.2 |
| 23.0 | 3.863 | 71.2 |
| 31.0 | 2.882 | 81.1 |
| 32.3 | 2.775 | 44.5 |
| 32.9 | 2.726 | 100.0 |
| 36.5 | 2.464 | 43.2 |
| 39.8 | 2.265 | 40.4 |
| 40.3 | 2.238 | 45.1 |
| 45.4 | 1.997 | 54.6 |
| 48.4 | 1.881 | 39.3 |
| 54.1 | 1.695 | 32.4 |

=====

Entry 9:
Simulated X-ray powder pattern
Compound: Na5Pr
Radiation: copper Kα
Structure: DFT lattice parameters and positions (GGA-PBE)
Intensities are scaled so that the largest is 100.

Cell and atoms:
```
data_Na5Pr
_space_group_name_H-M_alt 'C m m m'
_space_group_IT_number 65
_space_group_name_Hall '-C 2 2'
_cell_length_a 6.299
_cell_length_b 18.804
_cell_length_c 3.653
_cell_angle_alpha 90.00
_cell_angle_beta 90.00
_cell_angle_gamma 90.00
loop_
_atom_site_label
_atom_site_type_symbol
_atom_site_fract_x
_atom_site_fract_y
_atom_site_fract_z
Na1 Na 0.000 0.000 0.000
Na2 Na 0.000 0.151 0.500
Na3 Na 0.000 0.325 0.000
Pr1 Pr 0.000 0.500 0.500
```

The 12 most intense peaks (2θ = 10–80°), low angle first:
| Position (°2θ) | d [Å] | I_rel |
| --- | --- | --- |
| 14.8 | 5.973 | 54.9 |
| 18.9 | 4.701 | 16.3 |
| 20.0 | 4.443 | 30.4 |
| 26.2 | 3.405 | 20.0 |
| 27.6 | 3.229 | 23.2 |
| 28.3 | 3.149 | 34.3 |
| 28.5 | 3.134 | 31.3 |
| 28.6 | 3.116 | 25.0 |
| 31.7 | 2.822 | 100.0 |
| 40.6 | 2.221 | 23.6 |
| 52.3 | 1.748 | 27.7 |
| 52.5 | 1.743 | 19.8 |

=====

Entry 10:
Simulated X-ray powder pattern
Compound: Dy4Er2Mg
Radiation: copper Kα
Structure: DFT lattice parameters and positions (GGA-PBE)
Intensities are scaled so that the largest is 100.

Cell and atoms:
```
data_Dy4Er2Mg
_space_group_name_H-M_alt 'P 1 2/m 1'
_space_group_IT_number 10
_space_group_name_Hall '-P 2y'
_cell_length_a 5.874
_cell_length_b 3.591
_cell_length_c 10.680
_cell_angle_alpha 90.00
_cell_angle_beta 99.26
_cell_angle_gamma 90.00
loop_
_atom_site_label
_atom_site_type_symbol
_atom_site_fract_x
_atom_site_fract_y
_atom_site_fract_z
Dy1 Dy 0.056 0.000 0.202
Dy2 Dy 0.426 0.500 0.750
Er1 Er 0.000 0.500 0.500
Er2 Er 0.500 0.000 0.500
Mg1 Mg 0.500 0.000 0.000
```

The 12 most intense peaks (2θ = 10–80°), low angle first:
| Position (°2θ) | d [Å] | I_rel |
| --- | --- | --- |
| 16.8 | 5.270 | 17.4 |
| 25.3 | 3.514 | 39.8 |
| 29.8 | 3.001 | 70.9 |
| 30.8 | 2.899 | 48.8 |
| 32.6 | 2.744 | 92.1 |
| 33.3 | 2.687 | 30.1 |
| 34.0 | 2.635 | 37.7 |
| 35.2 | 2.550 | 100.0 |
| 36.9 | 2.437 | 37.7 |
| 50.5 | 1.809 | 36.6 |
| 50.8 | 1.796 | 22.7 |
| 53.3 | 1.719 | 29.6 |